For Ga5Re2, a cell relaxed with PBE gives the theoretical powder XRD pattern in this record (copper Kα).
Intensities are scaled so that the largest is 100.

Crystal structure
```
data_Ga5Re2
_cell_length_a 9.0072
_cell_length_b 9.0072
_cell_length_c 2.7136
_cell_angle_alpha 90.00
_cell_angle_beta 90.00
_cell_angle_gamma 90.00
_symmetry_space_group_name_H-M 'P 4/m b m'
_symmetry_Int_Tables_number 127
_symmetry_space_group_name_Hall '-P 4 2ab'
loop_
_atom_site_label
_atom_site_fract_x
_atom_site_fract_y
_atom_site_fract_z
_atom_site_occupancy
Ga1 0.0000 0.5000 0.0000 1
Ga2 0.0608 0.1987 0.0000 1
Re1 0.1776 0.6776 0.5000 1
```

Top 12 peaks for 2θ = 10–80°, sorted by position:
- 19.71 deg, d = 4.504 Å, I = 33.2, hkl 2 0 0
- 22.07 deg, d = 4.028 Å, I = 74.1, hkl 2 1 0
- 38.74 deg, d = 2.324 Å, I = 37.9, hkl 2 0 1
- 40.06 deg, d = 2.251 Å, I = 87.7, hkl 2 1 1
- 41.33 deg, d = 2.185 Å, I = 100.0, hkl 4 1 0
- 42.58 deg, d = 2.123 Å, I = 48.4, hkl 3 3 0
- 43.83 deg, d = 2.065 Å, I = 17.8, hkl 2 2 1
- 46.21 deg, d = 1.965 Å, I = 58.2, hkl 3 1 1
- 49.60 deg, d = 1.838 Å, I = 17.4, hkl 3 2 1
- 65.56 deg, d = 1.424 Å, I = 14.7, hkl 5 2 1
- 75.37 deg, d = 1.261 Å, I = 19.9, hkl 6 2 1
- 76.24 deg, d = 1.249 Å, I = 16.2, hkl 5 4 1


For Ga2ReTe4, a cell relaxed with PBE gives the theoretical powder XRD pattern in this record (copper Kα).
Intensities are scaled so that the largest is 100.

Crystal structure
```
data_Ga2ReTe4
_cell_length_a 6.0842
_cell_length_b 6.0842
_cell_length_c 12.3093
_cell_angle_alpha 90.00
_cell_angle_beta 90.00
_cell_angle_gamma 90.00
_symmetry_space_group_name_H-M 'I -4'
_symmetry_Int_Tables_number 82
loop_
_symmetry_equiv_pos_as_xyz
'x,y,z'
'y,-x,-z'
'-x,-y,z'
'-y,x,-z'
'x+1/2,y+1/2,z+1/2'
'y+1/2,-x+1/2,-z+1/2'
'-x+1/2,-y+1/2,z+1/2'
'-y+1/2,x+1/2,-z+1/2'
loop_
_atom_site_label
_atom_site_fract_x
_atom_site_fract_y
_atom_site_fract_z
_atom_site_occupancy
Ga1 0.0000 0.0000 0.0000 1
Ga2 0.0000 0.5000 0.2500 1
Re1 0.0000 0.0000 0.5000 1
Te1 0.2056 0.7423 0.6281 1
```

Top 12 peaks for 2θ = 10–80°, sorted by position:
- 14.39 deg, d = 6.155 Å, I = 7.3, hkl 0 0 2
- 16.25 deg, d = 5.454 Å, I = 18.4, hkl 1 0 1
- 20.65 deg, d = 4.302 Å, I = 7.4, hkl 1 1 0
- 25.26 deg, d = 3.526 Å, I = 100.0, hkl 1 1 2
- 33.74 deg, d = 2.657 Å, I = 11.0, hkl 2 1 1
- 39.75 deg, d = 2.268 Å, I = 7.6, hkl 1 2 3
- 41.75 deg, d = 2.163 Å, I = 48.1, hkl 2 0 4
- 42.00 deg, d = 2.151 Å, I = 21.5, hkl 2 2 0
- 49.20 deg, d = 1.852 Å, I = 16.0, hkl 1 1 6
- 49.64 deg, d = 1.836 Å, I = 25.3, hkl 1 3 2
- 66.64 deg, d = 1.403 Å, I = 10.4, hkl 3 1 6
- 76.57 deg, d = 1.244 Å, I = 10.7, hkl 4 2 4


For Tb4GaSbS9, a cell relaxed with PBE gives the theoretical powder XRD pattern in this record (copper Kα).
Intensities are scaled so that the largest is 100.

Crystal structure
```
data_Tb4GaSbS9
_cell_length_a 13.5557
_cell_length_b 13.8875
_cell_length_c 14.1736
_cell_angle_alpha 90.00
_cell_angle_beta 90.00
_cell_angle_gamma 90.00
_symmetry_space_group_name_H-M 'A e a 2'
_symmetry_Int_Tables_number 41
loop_
_symmetry_equiv_pos_as_xyz
'x,y,z'
'-x,-y,z'
'-x+1/2,y+1/2,z'
'x+1/2,-y+1/2,z'
'x,y+1/2,z+1/2'
'-x,-y+1/2,z+1/2'
'-x+1/2,y,z+1/2'
'x+1/2,-y,z+1/2'
loop_
_atom_site_label
_atom_site_fract_x
_atom_site_fract_y
_atom_site_fract_z
_atom_site_occupancy
Tb1 0.1000 0.1722 0.0000 1
Tb2 0.1042 0.1101 0.5482 1
Tb3 0.1849 0.1659 0.2813 1
Tb4 0.1877 0.3907 0.5084 1
Ga1 0.0909 0.3945 0.7719 1
Sb1 0.1133 0.4181 0.2364 1
S1 0.0000 0.0000 0.3651 1
S2 0.0000 0.0000 0.9936 1
S3 0.0123 0.1956 0.1793 1
S4 0.0692 0.2542 0.4243 1
S5 0.0820 0.0940 0.7447 1
S6 0.0995 0.4093 0.0622 1
S7 0.1898 0.3007 0.8677 1
S8 0.1977 0.4876 0.6835 1
S9 0.2449 0.2333 0.6138 1
S10 0.2467 0.0580 0.9289 1
```

Top 12 peaks for 2θ = 10–80°, sorted by position:
- 25.13 deg, d = 3.543 Å, I = 60.3, hkl 0 0 4
- 25.66 deg, d = 3.472 Å, I = 29.0, hkl 0 4 0
- 26.69 deg, d = 3.340 Å, I = 100.0, hkl 3 2 2
- 27.80 deg, d = 3.210 Å, I = 29.3, hkl 4 1 1
- 30.07 deg, d = 2.972 Å, I = 25.1, hkl 2 3 3
- 33.56 deg, d = 2.670 Å, I = 46.1, hkl 3 3 3
- 34.29 deg, d = 2.615 Å, I = 27.4, hkl 5 1 1
- 36.22 deg, d = 2.480 Å, I = 41.4, hkl 0 4 4
- 42.05 deg, d = 2.149 Å, I = 24.9, hkl 4 1 5
- 45.26 deg, d = 2.004 Å, I = 24.4, hkl 3 2 6
- 47.29 deg, d = 1.922 Å, I = 26.8, hkl 5 5 1
- 50.60 deg, d = 1.804 Å, I = 47.6, hkl 7 2 2


Please write out number 2 again, unchanged.
For Ga2ReTe4, a cell relaxed with PBE gives the theoretical powder XRD pattern in this record (copper Kα).
Intensities are scaled so that the largest is 100.

Crystal structure
```
data_Ga2ReTe4
_cell_length_a 6.0842
_cell_length_b 6.0842
_cell_length_c 12.3093
_cell_angle_alpha 90.00
_cell_angle_beta 90.00
_cell_angle_gamma 90.00
_symmetry_space_group_name_H-M 'I -4'
_symmetry_Int_Tables_number 82
loop_
_symmetry_equiv_pos_as_xyz
'x,y,z'
'y,-x,-z'
'-x,-y,z'
'-y,x,-z'
'x+1/2,y+1/2,z+1/2'
'y+1/2,-x+1/2,-z+1/2'
'-x+1/2,-y+1/2,z+1/2'
'-y+1/2,x+1/2,-z+1/2'
loop_
_atom_site_label
_atom_site_fract_x
_atom_site_fract_y
_atom_site_fract_z
_atom_site_occupancy
Ga1 0.0000 0.0000 0.0000 1
Ga2 0.0000 0.5000 0.2500 1
Re1 0.0000 0.0000 0.5000 1
Te1 0.2056 0.7423 0.6281 1
```

Top 12 peaks for 2θ = 10–80°, sorted by position:
- 14.39 deg, d = 6.155 Å, I = 7.3, hkl 0 0 2
- 16.25 deg, d = 5.454 Å, I = 18.4, hkl 1 0 1
- 20.65 deg, d = 4.302 Å, I = 7.4, hkl 1 1 0
- 25.26 deg, d = 3.526 Å, I = 100.0, hkl 1 1 2
- 33.74 deg, d = 2.657 Å, I = 11.0, hkl 2 1 1
- 39.75 deg, d = 2.268 Å, I = 7.6, hkl 1 2 3
- 41.75 deg, d = 2.163 Å, I = 48.1, hkl 2 0 4
- 42.00 deg, d = 2.151 Å, I = 21.5, hkl 2 2 0
- 49.20 deg, d = 1.852 Å, I = 16.0, hkl 1 1 6
- 49.64 deg, d = 1.836 Å, I = 25.3, hkl 1 3 2
- 66.64 deg, d = 1.403 Å, I = 10.4, hkl 3 1 6
- 76.57 deg, d = 1.244 Å, I = 10.7, hkl 4 2 4